# FeSe2O5
Simulated X-ray powder pattern, Cu Kα. Input: a cell relaxed with PBE+U.

Structure:
Cell lengths 6.9170, 10.6939, 6.3076 Å; angles 90.00, 90.00, 90.00 degrees
Element x y z (fractional)
1 Fe 0.0000 0.0607 0.2500
2 Fe 0.0000 0.9393 0.7500
3 Fe 0.5000 0.4393 0.7500
4 Fe 0.5000 0.5607 0.2500
5 Se 0.1361 0.3454 0.0396
6 Se 0.1361 0.6546 0.5396
7 Se 0.3639 0.1546 0.5396
8 Se 0.3639 0.8454 0.0396
9 Se 0.6361 0.1546 0.9604
10 Se 0.6361 0.8454 0.4604
11 Se 0.8639 0.3454 0.4604
12 Se 0.8639 0.6546 0.9604
13 O 0.0000 0.4323 0.2500
14 O 0.0000 0.5677 0.7500
15 O 0.1527 0.0697 0.5537
16 O 0.1527 0.9303 0.0537
17 O 0.1957 0.2110 0.1669
18 O 0.1957 0.7890 0.6669
19 O 0.3043 0.2890 0.6669
20 O 0.3043 0.7110 0.1669
21 O 0.3473 0.4303 0.0537
22 O 0.3473 0.5697 0.5537
23 O 0.5000 0.0677 0.7500
24 O 0.5000 0.9323 0.2500
25 O 0.6527 0.4303 0.4463
26 O 0.6527 0.5697 0.9463
27 O 0.6957 0.2890 0.8331
28 O 0.6957 0.7110 0.3331
29 O 0.8043 0.2110 0.3331
30 O 0.8043 0.7890 0.8331
31 O 0.8473 0.0697 0.9463
32 O 0.8473 0.9303 0.4463

Principal peaks in the range 2θ from 5° to 70°, low angle first:
Position (°2θ), d/Å, I/Imax, index
20.79, 4.273, 37, 1 1 1
25.35, 3.513, 100, 1 2 1
28.16, 3.169, 36, 1 3 0
30.64, 2.918, 63, 2 1 1
32.30, 2.772, 22, 1 1 2
52.35, 1.748, 25, 2 5 1